The following is a simulated PXRD pattern of Na14CdPb. It was derived from a crystal structure in Alexandria, relaxed with GGA-PBE, using copper Kα.
Peak positions follow from Bragg's law for the DFT cell and can differ from measured ones.

Cell and atoms:
```
16
Lattice="10.4854 0.0000 0.0000 0.0000 5.1177 4.9670 0.0000 -5.1177 4.9670" Properties=species:S:1:pos:R:3 pbc="T T T"
Na 0.0000 0.0000 0.0000
Na 0.0000 0.0000 4.9290
Na 0.0000 -2.5421 7.4323
Na 0.0000 2.5421 7.4323
Na 2.8385 -2.5366 4.9433
Na 2.8385 2.5366 4.9433
Na 2.8432 0.0000 7.4382
Na 2.8495 0.0000 2.4453
Na 5.2427 -2.5570 7.4307
Na 5.2427 2.5570 7.4307
Na 7.6358 0.0000 2.4453
Na 7.6469 -2.5366 4.9433
Na 7.6469 2.5366 4.9433
Na 7.6422 0.0000 7.4382
Cd 5.2427 0.0000 9.9093
Pb 5.2427 0.0000 4.9484
```

Largest 8 diffraction maxima, low angle first, 10 to 80 degrees two-theta:
2θ (°), I (rel.)
16.9, 18
19.3, 25
19.8, 23
26.4, 19
30.3, 100
35.1, 17
36.0, 18
36.2, 22